# 1
# K6Na3GaSb4
Simulated powder X-ray diffraction pattern, Cu Kα X-rays. Input: a crystal structure in the Materials Project, relaxed with PBE.
Intensities are scaled so that the largest is 100.

```
K6Na3GaSb4
1.0
10.2922 0.0000 0.0000
-5.1461 8.9133 0.0000
0.0000 0.0000 10.6013
K Na Ga Sb
12 6 2 8
direct
0.2070 0.4141 0.0405 K
0.2070 0.4141 0.4595 K
0.2070 0.7930 0.0405 K
0.2070 0.7930 0.4595 K
0.4141 0.2070 0.5405 K
0.4141 0.2070 0.9595 K
0.5859 0.7930 0.0405 K
0.5859 0.7930 0.4595 K
0.7930 0.2070 0.5405 K
0.7930 0.2070 0.9595 K
0.7930 0.5859 0.5405 K
0.7930 0.5859 0.9595 K
0.1152 0.2304 0.7500 Na
0.1152 0.8848 0.7500 Na
0.2304 0.1152 0.2500 Na
0.7696 0.8848 0.7500 Na
0.8848 0.1152 0.2500 Na
0.8848 0.7696 0.2500 Na
0.3333 0.6667 0.7500 Ga
0.6667 0.3333 0.2500 Ga
0.0000 0.0000 0.0000 Sb
0.0000 0.0000 0.5000 Sb
0.0369 0.5185 0.7500 Sb
0.4815 0.5185 0.7500 Sb
0.4815 0.9631 0.7500 Sb
0.5185 0.0369 0.2500 Sb
0.5185 0.4815 0.2500 Sb
0.9631 0.4815 0.2500 Sb
```

The 10 most intense peaks (5° ≤ 2θ ≤ 70°), in order of falling intensity:
| d/Å | I (rel.) |
| --- | --- |
| 2.843 | 100 |
| 4.556 | 43 |
| 4.457 | 41 |
| 2.573 | 38 |
| 3.411 | 31 |
| 1.846 | 24 |
| 2.650 | 22 |
| 6.822 | 22 |
| 2.861 | 21 |
| 1.770 | 21 |

=====

# 2
# Rb3HoO3
Simulated powder X-ray diffraction pattern, Cu Kα X-rays. Input: a crystal structure in the Materials Project, relaxed with PBE.
Intensities are scaled so that the largest is 100.

```
Rb3HoO3
1.0
7.9929 0.0000 0.0000
0.0000 7.3866 0.0000
-0.8371 0.0000 11.7338
Rb Ho O
12 4 12
direct
0.0678 0.1220 0.1550 Rb
0.0678 0.3780 0.6550 Rb
0.3583 0.1692 0.9212 Rb
0.3583 0.3308 0.4212 Rb
0.3750 0.6961 0.8077 Rb
0.3750 0.8039 0.3077 Rb
0.6250 0.1961 0.6923 Rb
0.6250 0.3039 0.1923 Rb
0.6417 0.6692 0.5788 Rb
0.6417 0.8308 0.0788 Rb
0.9322 0.6220 0.3450 Rb
0.9322 0.8780 0.8450 Rb
0.1616 0.5889 0.0671 Ho
0.1616 0.9111 0.5671 Ho
0.8384 0.0889 0.4329 Ho
0.8384 0.4111 0.9329 Ho
0.1063 0.0494 0.4039 O
0.1063 0.4506 0.9039 O
0.2533 0.6452 0.5428 O
0.2533 0.8548 0.0428 O
0.3106 0.0591 0.6892 O
0.3106 0.4409 0.1892 O
0.6894 0.5591 0.8108 O
0.6894 0.9409 0.3108 O
0.7467 0.1452 0.9572 O
0.7467 0.3548 0.4572 O
0.8937 0.5494 0.0961 O
0.8937 0.9506 0.5961 O
```

The 10 most intense peaks (5° ≤ 2θ ≤ 70°), in order of falling intensity:
| d/Å | I (rel.) |
| --- | --- |
| 3.196 | 100 |
| 2.726 | 33 |
| 3.098 | 32 |
| 3.247 | 30 |
| 6.251 | 15 |
| 3.414 | 15 |
| 2.480 | 15 |
| 5.012 | 13 |
| 1.845 | 12 |
| 2.116 | 10 |

=====

# 3
# Tl2Pt2O7
Simulated powder X-ray diffraction pattern, Cu Kα X-rays. Input: a crystal structure in the Materials Project, relaxed with PBE.
Intensities are scaled so that the largest is 100.

```
Tl2Pt2O7
1.0
0.0000 5.1679 5.1679
5.1679 0.0000 5.1679
5.1679 5.1679 0.0000
Tl Pt O
4 4 14
direct
0.0000 0.0000 0.0000 Tl
0.0000 0.0000 0.5000 Tl
0.0000 0.5000 0.0000 Tl
0.5000 0.0000 0.0000 Tl
0.0000 0.5000 0.5000 Pt
0.5000 0.0000 0.5000 Pt
0.5000 0.5000 0.0000 Pt
0.5000 0.5000 0.5000 Pt
0.1250 0.1250 0.1250 O
0.1656 0.1656 0.5844 O
0.1656 0.5844 0.1656 O
0.1656 0.5844 0.5844 O
0.4156 0.4156 0.8344 O
0.4156 0.8344 0.4156 O
0.4156 0.8344 0.8344 O
0.5844 0.1656 0.1656 O
0.5844 0.1656 0.5844 O
0.5844 0.5844 0.1656 O
0.8344 0.4156 0.4156 O
0.8344 0.4156 0.8344 O
0.8344 0.8344 0.4156 O
0.8750 0.8750 0.8750 O
```

The 6 most intense peaks (5° ≤ 2θ ≤ 70°), in order of falling intensity:
| d/Å | I (rel.) |
| --- | --- |
| 2.984 | 100 |
| 1.558 | 45 |
| 1.827 | 45 |
| 2.584 | 39 |
| 1.492 | 11 |
| 2.371 | 1 |

=====

# 4
# HfNi3
Simulated powder X-ray diffraction pattern, Cu Kα X-rays. Input: a crystal structure in the Materials Project, relaxed with PBE.
Intensities are scaled so that the largest is 100.

```
HfNi3
1.0
5.2666 0.0000 0.0000
-2.6333 4.5610 0.0000
0.0000 0.0000 21.4106
Hf Ni
10 30
direct
0.0000 0.0000 0.2500 Hf
0.0000 0.0000 0.7500 Hf
0.3333 0.6667 0.0461 Hf
0.3333 0.6667 0.4539 Hf
0.3333 0.6667 0.6511 Hf
0.3333 0.6667 0.8489 Hf
0.6667 0.3333 0.1511 Hf
0.6667 0.3333 0.3489 Hf
0.6667 0.3333 0.5461 Hf
0.6667 0.3333 0.9539 Hf
0.0213 0.5107 0.2500 Ni
0.1563 0.3126 0.5512 Ni
0.1563 0.3126 0.9488 Ni
0.1563 0.8437 0.5512 Ni
0.1563 0.8437 0.9488 Ni
0.1678 0.3355 0.1496 Ni
0.1678 0.3355 0.3504 Ni
0.1678 0.8322 0.1496 Ni
0.1678 0.8322 0.3504 Ni
0.3126 0.1563 0.0512 Ni
0.3126 0.1563 0.4488 Ni
0.3355 0.1678 0.6496 Ni
0.3355 0.1678 0.8504 Ni
0.4893 0.5107 0.2500 Ni
0.4893 0.9787 0.2500 Ni
0.5107 0.0213 0.7500 Ni
0.5107 0.4893 0.7500 Ni
0.6645 0.8322 0.1496 Ni
0.6645 0.8322 0.3504 Ni
0.6874 0.8437 0.5512 Ni
0.6874 0.8437 0.9488 Ni
0.8322 0.1678 0.6496 Ni
0.8322 0.1678 0.8504 Ni
0.8322 0.6645 0.6496 Ni
0.8322 0.6645 0.8504 Ni
0.8437 0.1563 0.0512 Ni
0.8437 0.1563 0.4488 Ni
0.8437 0.6874 0.0512 Ni
0.8437 0.6874 0.4488 Ni
0.9787 0.4893 0.7500 Ni
```

The 10 most intense peaks (5° ≤ 2θ ≤ 70°), in order of falling intensity:
| d/Å | I (rel.) |
| --- | --- |
| 2.013 | 100 |
| 2.141 | 42 |
| 3.122 | 36 |
| 2.230 | 26 |
| 2.633 | 21 |
| 2.098 | 20 |
| 1.922 | 17 |
| 1.661 | 12 |
| 1.736 | 11 |
| 2.268 | 9 |

=====

# 5
# MnGa2Te4
Simulated powder X-ray diffraction pattern, Cu Kα X-rays. Input: a crystal structure in the Materials Project, relaxed with PBE.
Intensities are scaled so that the largest is 100.

```
MnGa2Te4
1.0
27.8009 0.0000 0.0000
0.0000 4.2605 0.0000
0.0000 0.0000 7.0727
Mn Ga Te
4 8 16
direct
0.1905 0.2500 0.1478 Mn
0.3095 0.7500 0.6478 Mn
0.6905 0.2500 0.3522 Mn
0.8095 0.7500 0.8522 Mn
0.0470 0.7500 0.9260 Ga
0.1500 0.7500 0.5459 Ga
0.3500 0.2500 0.0459 Ga
0.4530 0.2500 0.4260 Ga
0.5470 0.7500 0.5740 Ga
0.6500 0.7500 0.9541 Ga
0.8500 0.2500 0.4541 Ga
0.9530 0.2500 0.0740 Ga
0.0056 0.2500 0.7509 Te
0.1066 0.2500 0.3881 Te
0.1432 0.7500 0.9240 Te
0.2336 0.7500 0.3643 Te
0.2664 0.2500 0.8643 Te
0.3568 0.2500 0.4240 Te
0.3934 0.7500 0.8881 Te
0.4944 0.7500 0.2509 Te
0.5056 0.2500 0.7491 Te
0.6066 0.2500 0.1119 Te
0.6432 0.7500 0.5760 Te
0.7336 0.7500 0.1357 Te
0.7664 0.2500 0.6357 Te
0.8568 0.2500 0.0760 Te
0.8934 0.7500 0.6119 Te
0.9944 0.7500 0.2491 Te
```

The 10 most intense peaks (5° ≤ 2θ ≤ 70°), in order of falling intensity:
| d/Å | I (rel.) |
| --- | --- |
| 3.231 | 100 |
| 3.396 | 67 |
| 2.035 | 39 |
| 2.130 | 34 |
| 3.119 | 28 |
| 3.152 | 28 |
| 3.508 | 25 |
| 2.063 | 24 |
| 3.474 | 21 |
| 2.444 | 19 |

=====

# 6
# Pr2GeRh3
Simulated powder X-ray diffraction pattern, Cu Kα X-rays. Input: a crystal structure in the Materials Project, relaxed with PBE.
Intensities are scaled so that the largest is 100.

```
Pr2GeRh3
1.0
2.8539 1.6477 4.0710
-2.8539 1.6477 4.0710
0.0000 -3.2954 4.0710
Pr Ge Rh
2 1 3
direct
0.1281 0.1281 0.1281 Pr
0.8719 0.8719 0.8719 Pr
0.5000 0.5000 0.5000 Ge
0.0000 0.5000 0.5000 Rh
0.5000 0.0000 0.5000 Rh
0.5000 0.5000 0.0000 Rh
```

The 10 most intense peaks (5° ≤ 2θ ≤ 70°), in order of falling intensity:
| d/Å | I (rel.) |
| --- | --- |
| 2.337 | 100 |
| 2.422 | 69 |
| 1.426 | 45 |
| 2.291 | 44 |
| 2.598 | 43 |
| 2.854 | 36 |
| 2.190 | 35 |
| 1.527 | 26 |
| 1.484 | 20 |
| 1.594 | 19 |

=====

# 7
# ZnPb3
Simulated powder X-ray diffraction pattern, Cu Kα X-rays. Input: a crystal structure in the Materials Project, relaxed with PBE.
Intensities are scaled so that the largest is 100.

```
ZnPb3
1.0
6.8677 0.0000 0.0000
-3.4338 5.9476 0.0000
0.0000 0.0000 5.5998
Zn Pb
2 6
direct
0.3333 0.6667 0.2500 Zn
0.6667 0.3333 0.7500 Zn
0.1707 0.3414 0.7500 Pb
0.1707 0.8293 0.7500 Pb
0.3414 0.1707 0.2500 Pb
0.6586 0.8293 0.7500 Pb
0.8293 0.1707 0.2500 Pb
0.8293 0.6586 0.2500 Pb
```

The 10 most intense peaks (5° ≤ 2θ ≤ 70°), in order of falling intensity:
| d/Å | I (rel.) |
| --- | --- |
| 2.626 | 100 |
| 2.800 | 26 |
| 1.581 | 24 |
| 2.974 | 23 |
| 1.464 | 23 |
| 1.717 | 19 |
| 1.437 | 17 |
| 2.039 | 16 |
| 4.077 | 13 |
| 3.434 | 5 |

=====

# 8
# ZrGa6Fe6
Simulated powder X-ray diffraction pattern, Cu Kα X-rays. Input: a crystal structure in the Materials Project, relaxed with PBE.
Intensities are scaled so that the largest is 100.

```
ZrGa6Fe6
1.0
-2.4950 4.2123 4.2986
2.4950 -4.2123 4.2986
2.4950 4.2123 -4.2986
Zr Ga Fe
1 6 6
direct
0.0000 0.0000 0.0000 Zr
0.1737 0.6737 0.5000 Ga
0.3317 0.0000 0.3317 Ga
0.3408 0.3408 0.0000 Ga
0.6592 0.6592 0.0000 Ga
0.6683 0.0000 0.6683 Ga
0.8263 0.3263 0.5000 Ga
0.0000 0.0000 0.5000 Fe
0.0000 0.5000 0.0000 Fe
0.2451 0.5000 0.7451 Fe
0.5000 0.0000 0.0000 Fe
0.5000 0.5000 0.5000 Fe
0.7549 0.5000 0.2549 Fe
```

The 10 most intense peaks (5° ≤ 2θ ≤ 70°), in order of falling intensity:
| d/Å | I (rel.) |
| --- | --- |
| 2.140 | 100 |
| 1.921 | 90 |
| 2.148 | 79 |
| 2.485 | 74 |
| 2.106 | 59 |
| 2.158 | 56 |
| 1.914 | 44 |
| 2.127 | 41 |
| 2.495 | 38 |
| 1.892 | 32 |

=====

# 9
# LuIn3
Simulated powder X-ray diffraction pattern, Cu Kα X-rays. Input: a crystal structure in the Materials Project, relaxed with PBE.
Intensities are scaled so that the largest is 100.

```
LuIn3
1.0
4.6105 0.0000 0.0000
0.0000 4.6105 0.0000
0.0000 0.0000 4.6105
Lu In
1 3
direct
0.0000 0.0000 0.0000 Lu
0.0000 0.5000 0.5000 In
0.5000 0.0000 0.5000 In
0.5000 0.5000 0.0000 In
```

The 10 most intense peaks (5° ≤ 2θ ≤ 70°), in order of falling intensity:
| d/Å | I (rel.) |
| --- | --- |
| 2.662 | 100 |
| 2.305 | 50 |
| 1.390 | 39 |
| 1.630 | 33 |
| 4.611 | 3 |
| 3.260 | 3 |
| 2.062 | 2 |
| 1.882 | 1 |
| 1.537 | 1 |
| 1.458 | 1 |